Calculated powder X-ray diffraction pattern of K3Cr4F12 for Cu Kα (weighted mean of Kα1 and Kα2), from the GGA+U geometry in Alexandria.

Structure:
abc: 7.1657 7.1657 7.1657
angles: 109.47 109.47 109.47
Element x y z (fractional)
K: 0.0000 0.5000 0.5000
K: 0.5000 0.0000 0.5000
K: 0.5000 0.5000 0.0000
Cr: 0.0000 0.0000 0.5000
Cr: 0.0000 0.5000 0.0000
Cr: 0.5000 0.0000 0.0000
Cr: 0.5000 0.5000 0.5000
F: 0.0000 0.2563 0.7437
F: 0.0000 0.7437 0.2563
F: 0.2563 0.0000 0.7437
F: 0.2563 0.2563 0.5126
F: 0.2563 0.5126 0.2563
F: 0.2563 0.7437 0.0000
F: 0.4874 0.7437 0.7437
F: 0.5126 0.2563 0.2563
F: 0.7437 0.0000 0.2563
F: 0.7437 0.2563 0.0000
F: 0.7437 0.4874 0.7437
F: 0.7437 0.7437 0.4874

Largest 12 diffraction maxima, low angle first, 2θ from 15° to 90°:
| 2θ/deg | d (Å) | intensity |
| --- | --- | --- |
| 15.14 | 5.851 | 19.9 |
| 21.48 | 4.137 | 56.7 |
| 30.56 | 2.925 | 100.0 |
| 37.66 | 2.389 | 10.7 |
| 43.76 | 2.069 | 82.5 |
| 49.25 | 1.850 | 20.6 |
| 54.32 | 1.689 | 35.5 |
| 63.61 | 1.463 | 43.7 |
| 67.98 | 1.379 | 8.0 |
| 72.21 | 1.308 | 14.2 |
| 80.41 | 1.194 | 13.0 |
| 88.41 | 1.106 | 16.8 |